Record 1
The following is a computed XRD peak list of V2CrNi. It was derived from a crystal structure in Alexandria, relaxed with PBE, using Cu Kα (weighted mean of Kα1 and Kα2).
Intensities are scaled so that the largest is 100.

Top 7 peaks for 5° ≤ 2θ ≤ 70°, by angle:
| Position (°2θ) | d_spacing | intensity | index |
| --- | --- | --- | --- |
| 30.31 | 2.949 | 1 | 1 0 0 |
| 31.60 | 2.831 | 1 | 0 0 2 |
| 34.29 | 2.615 | 1 | 1 0 1 |
| 43.40 | 2.085 | 54 | 1 1 0 |
| 44.35 | 2.042 | 100 | 1 0 2 |
| 63.05 | 1.474 | 16 | 2 0 0 |
| 65.99 | 1.416 | 7 | 0 0 4 |

Structure:
```
data_V2CrNi
_chemical_formula_sum 'V2 Cr1 Ni1'
_cell_length_a 2.949
_cell_length_b 2.949
_cell_length_c 5.663
_cell_angle_alpha 90.00
_cell_angle_beta 90.00
_cell_angle_gamma 90.00
_symmetry_space_group_name_H-M 'P 4/m m m'
_symmetry_Int_Tables_number 123
_symmetry_space_group_name_Hall '-P 4 2'
loop_
_atom_site_label
_atom_site_fract_x
_atom_site_fract_y
_atom_site_fract_z
V1 0.000 0.000 0.242
Cr1 0.500 0.500 0.000
Ni1 0.500 0.500 0.500
```

Record 2
The following is a computed XRD peak list of Ca2CdGe2Rh5. It was derived from a crystal structure in Alexandria, relaxed with PBE, using Cu Kα (weighted mean of Kα1 and Kα2).
Intensities are scaled so that the largest is 100.

Top 8 peaks for 5° ≤ 2θ ≤ 70°, by angle:
| Position (°2θ) | d_spacing | intensity | index |
| --- | --- | --- | --- |
| 19.72 | 4.502 | 35 | 2 1 0 |
| 36.16 | 2.484 | 24 | 2 2 1 |
| 36.81 | 2.441 | 33 | 4 1 0 |
| 38.38 | 2.346 | 100 | 3 1 1 |
| 40.06 | 2.251 | 26 | 4 2 0 |
| 41.52 | 2.175 | 43 | 3 2 1 |
| 45.43 | 1.997 | 13 | 4 1 1 |
| 52.77 | 1.735 | 19 | 0 0 2 |

Structure:
```
data_Ca2CdGe2Rh5
_chemical_formula_sum 'Ca4 Cd2 Ge4 Rh10'
_cell_length_a 10.066
_cell_length_b 10.066
_cell_length_c 3.469
_cell_angle_alpha 90.00
_cell_angle_beta 90.00
_cell_angle_gamma 90.00
_symmetry_space_group_name_H-M 'P 4/m b m'
_symmetry_Int_Tables_number 127
_symmetry_space_group_name_Hall '-P 4 2ab'
loop_
_atom_site_label
_atom_site_fract_x
_atom_site_fract_y
_atom_site_fract_z
Ca1 0.173 0.327 0.000
Cd1 0.000 0.000 0.000
Ge1 0.126 0.626 0.000
Rh1 0.000 0.500 0.500
Rh2 0.068 0.788 0.500
```

Record 3
The following is a computed XRD peak list of ZnCu3Au3. It was derived from a crystal structure in Alexandria, relaxed with PBE, using Cu Kα (weighted mean of Kα1 and Kα2).
Intensities are scaled so that the largest is 100.

Top 8 peaks for 5° ≤ 2θ ≤ 70°, by angle:
| Position (°2θ) | d_spacing | intensity | index |
| --- | --- | --- | --- |
| 20.21 | 4.393 | 22 | 1 1 1 |
| 28.74 | 3.107 | 91 | 2 1 1 |
| 35.39 | 2.537 | 20 | 2 2 1 |
| 37.37 | 2.406 | 100 | 3 0 1 |
| 39.27 | 2.294 | 53 | 3 1 1 |
| 42.85 | 2.111 | 74 | 3 2 0 |
| 44.55 | 2.034 | 79 | 3 1 2 |
| 49.38 | 1.846 | 40 | 3 2 2 |

Structure:
```
data_ZnCu3Au3
_chemical_formula_sum 'Zn4 Cu12 Au12'
_cell_length_a 7.610
_cell_length_b 7.610
_cell_length_c 7.610
_cell_angle_alpha 90.00
_cell_angle_beta 90.00
_cell_angle_gamma 90.00
_symmetry_space_group_name_H-M 'P 21 3'
_symmetry_Int_Tables_number 198
_symmetry_space_group_name_Hall 'P 2ac 2ab 3'
loop_
_atom_site_label
_atom_site_fract_x
_atom_site_fract_y
_atom_site_fract_z
Zn1 0.035 0.465 0.535
Cu1 0.138 0.638 0.862
Cu2 0.157 0.843 0.343
Cu3 0.168 0.168 0.168
Au1 0.033 0.309 0.871
```

Record 4
The following is a computed XRD peak list of Tb3Pm. It was derived from a crystal structure in Alexandria, relaxed with PBE, using Cu Kα (weighted mean of Kα1 and Kα2).
Intensities are scaled so that the largest is 100.

Top 8 peaks for 5° ≤ 2θ ≤ 70°, by angle:
| Position (°2θ) | d_spacing | intensity | index |
| --- | --- | --- | --- |
| 28.33 | 3.151 | 24 | 2 0 0 |
| 31.16 | 2.870 | 25 | 0 0 2 |
| 32.41 | 2.762 | 100 | 2 0 1 |
| 42.61 | 2.122 | 16 | 2 0 2 |
| 50.15 | 1.819 | 20 | 2 2 0 |
| 56.24 | 1.636 | 21 | 2 0 3 |
| 60.23 | 1.536 | 23 | 2 2 2 |
| 60.99 | 1.519 | 16 | 4 0 1 |

Structure:
```
data_Tb3Pm
_chemical_formula_sum 'Tb6 Pm2'
_cell_length_a 7.2762
_cell_length_b 7.2762
_cell_length_c 5.7407
_cell_angle_alpha 90.00
_cell_angle_beta 90.00
_cell_angle_gamma 120.00
_symmetry_space_group_name_H-M 'P 63/m m c'
_symmetry_Int_Tables_number 194
_symmetry_space_group_name_Hall '-P 6c 2c'
loop_
_atom_site_label
_atom_site_fract_x
_atom_site_fract_y
_atom_site_fract_z
Tb1 0.1663 0.3327 0.2500
Pm1 0.3333 0.6667 0.7500
```

Record 5
The following is a computed XRD peak list of CsNd2Se3. It was derived from a crystal structure in Alexandria, relaxed with PBE, using Cu Kα (weighted mean of Kα1 and Kα2).
Intensities are scaled so that the largest is 100.

Top 8 peaks for 5° ≤ 2θ ≤ 70°, by angle:
| Position (°2θ) | d_spacing | intensity | index |
| --- | --- | --- | --- |
| 25.93 | 3.436 | 50 | 1 1 1 |
| 26.21 | 3.400 | 51 | 2 0 1 |
| 27.12 | 3.288 | 100 | 1 1 -2 |
| 31.15 | 2.872 | 37 | 2 0 2 |
| 31.89 | 2.806 | 64 | 1 1 -3 |
| 40.19 | 2.244 | 66 | 3 1 -1 |
| 42.15 | 2.144 | 42 | 0 2 0 |
| 42.47 | 2.129 | 39 | 1 1 4 |

Structure:
```
data_CsNd2Se3
_chemical_formula_sum 'Cs2 Nd4 Se6'
_cell_length_a 7.899
_cell_length_b 4.287
_cell_length_c 11.504
_cell_angle_alpha 90.00
_cell_angle_beta 103.41
_cell_angle_gamma 90.00
_symmetry_space_group_name_H-M 'P 1 21/m 1'
_symmetry_Int_Tables_number 11
loop_
_symmetry_equiv_pos_as_xyz
'x,y,z'
'-x,-y,-z'
'-x,y+1/2,-z'
'x,-y+1/2,z'
loop_
_atom_site_label
_atom_site_fract_x
_atom_site_fract_y
_atom_site_fract_z
Cs1 0.027 0.250 0.343
Nd1 0.254 0.250 0.993
Nd2 0.499 0.750 0.317
Se1 0.146 0.750 0.140
Se2 0.323 0.750 0.522
Se3 0.390 0.750 0.846
```

Record 6
The following is a computed XRD peak list of Pm2TiIn8. It was derived from a crystal structure in Alexandria, relaxed with PBE, using Cu Kα (weighted mean of Kα1 and Kα2).
Intensities are scaled so that the largest is 100.

Top 8 peaks for 5° ≤ 2θ ≤ 70°, by angle:
| Position (°2θ) | d_spacing | intensity | index |
| --- | --- | --- | --- |
| 30.55 | 2.926 | 27 | 1 1 2 |
| 34.33 | 2.612 | 100 | 1 1 3 |
| 34.61 | 2.591 | 16 | 0 0 5 |
| 38.83 | 2.319 | 44 | 2 0 0 |
| 52.98 | 1.728 | 18 | 2 0 5 |
| 56.07 | 1.640 | 15 | 2 2 0 |
| 64.13 | 1.452 | 16 | 1 1 8 |
| 67.42 | 1.389 | 27 | 3 1 3 |

Structure:
```
data_Pm2TiIn8
_chemical_formula_sum 'Pm2 Ti1 In8'
_cell_length_a 4.639
_cell_length_b 4.639
_cell_length_c 12.957
_cell_angle_alpha 90.00
_cell_angle_beta 90.00
_cell_angle_gamma 90.00
_symmetry_space_group_name_H-M 'P 4/m m m'
_symmetry_Int_Tables_number 123
_symmetry_space_group_name_Hall '-P 4 2'
loop_
_atom_site_label
_atom_site_fract_x
_atom_site_fract_y
_atom_site_fract_z
Pm1 0.000 0.000 0.184
Ti1 0.000 0.000 0.500
In1 0.000 0.500 0.000
In2 0.000 0.500 0.369
In3 0.500 0.500 0.185
```

Record 7
The following is a computed XRD peak list of TlAg2Hg. It was derived from a crystal structure in Alexandria, relaxed with PBE, using Cu Kα (weighted mean of Kα1 and Kα2).
Intensities are scaled so that the largest is 100.

Top 8 peaks for 5° ≤ 2θ ≤ 70°, by angle:
| Position (°2θ) | d_spacing | intensity | index |
| --- | --- | --- | --- |
| 33.84 | 2.649 | 100 | 2 2 0 |
| 36.28 | 2.476 | 83 | 0 2 1 |
| 39.56 | 2.278 | 33 | 2 0 -1 |
| 40.07 | 2.250 | 31 | 2 0 1 |
| 42.50 | 2.127 | 27 | 0 4 0 |
| 59.45 | 1.555 | 20 | 2 4 -1 |
| 59.83 | 1.546 | 19 | 2 4 1 |
| 66.61 | 1.404 | 14 | 4 2 -1 |

Structure:
```
data_TlAg2Hg
_chemical_formula_sum 'Tl2 Ag4 Hg2'
_cell_length_a 6.771
_cell_length_b 8.508
_cell_length_c 3.046
_cell_angle_alpha 90.00
_cell_angle_beta 90.71
_cell_angle_gamma 90.00
_symmetry_space_group_name_H-M 'C 1 2/m 1'
_symmetry_Int_Tables_number 12
loop_
_symmetry_equiv_pos_as_xyz
'x,y,z'
'-x,-y,-z'
'-x,y,-z'
'x,-y,z'
'x+1/2,y+1/2,z'
'-x+1/2,-y+1/2,-z'
'-x+1/2,y+1/2,-z'
'x+1/2,-y+1/2,z'
loop_
_atom_site_label
_atom_site_fract_x
_atom_site_fract_y
_atom_site_fract_z
Tl1 0.000 0.000 0.000
Ag1 0.250 0.250 0.500
Hg1 0.000 0.500 0.000
```

Record 8
The following is a computed XRD peak list of Cd2GaAgSe2S2. It was derived from a crystal structure in Alexandria, relaxed with PBE, using Cu Kα (weighted mean of Kα1 and Kα2).
Intensities are scaled so that the largest is 100.

Top 8 peaks for 5° ≤ 2θ ≤ 70°, by angle:
| Position (°2θ) | d_spacing | intensity | index |
| --- | --- | --- | --- |
| 24.37 | 3.652 | 40 | 2 0 -2 |
| 24.76 | 3.596 | 100 | 1 1 -1 |
| 26.00 | 3.427 | 74 | 4 0 0 |
| 28.25 | 3.160 | 77 | 3 1 -1 |
| 36.60 | 2.455 | 51 | 5 1 -1 |
| 43.12 | 2.098 | 72 | 3 1 -3 |
| 43.82 | 2.066 | 38 | 0 2 0 |
| 46.64 | 1.947 | 41 | 5 1 1 |

Structure:
```
data_Cd2GaAgSe2S2
_chemical_formula_sum 'Cd4 Ga2 Ag2 Se4 S4'
_cell_length_a 15.267
_cell_length_b 4.132
_cell_length_c 7.311
_cell_angle_alpha 90.00
_cell_angle_beta 116.11
_cell_angle_gamma 90.00
_symmetry_space_group_name_H-M 'C 1 m 1'
_symmetry_Int_Tables_number 8
loop_
_symmetry_equiv_pos_as_xyz
'x,y,z'
'x,-y,z'
'x+1/2,y+1/2,z'
'x+1/2,-y+1/2,z'
loop_
_atom_site_label
_atom_site_fract_x
_atom_site_fract_y
_atom_site_fract_z
Cd1 0.000 0.000 0.000
Cd2 0.021 0.500 0.556
Ga1 0.269 0.000 0.588
Ag1 0.283 0.500 0.131
Se1 0.089 0.000 0.421
Se2 0.089 0.500 0.947
S1 0.312 0.500 0.796
S2 0.335 0.000 0.364
```